(1)
Structure and calculated powder X-ray diffraction pattern of V4ZnCu3O12 (a cell relaxed with GGA+U; Cu Kα, 1.54184 Å).
Peak positions follow from Bragg's law for the DFT cell and can differ from measured ones.

Structure:
abc: 6.3630 6.3882 6.3950
angles: 109.40 109.41 109.35
Atoms (fractional coordinates):
V 0.0000 0.0000 0.0000
V 0.0000 0.5000 0.5000
V 0.5000 0.0000 0.5000
V 0.5000 0.5000 0.0000
Zn 0.0000 0.0000 0.5000
Cu 0.0000 0.5000 0.0000
Cu 0.5000 0.0000 0.0000
Cu 0.5000 0.5000 0.5000
O 0.1217 0.8267 0.8081
O 0.1768 0.6992 0.3737
O 0.1866 0.3080 0.9815
O 0.2940 0.4805 0.6716
O 0.3012 0.1235 0.3234
O 0.4803 0.1775 0.8030
O 0.5197 0.8225 0.1970
O 0.6988 0.8765 0.6766
O 0.7060 0.5195 0.3284
O 0.8134 0.6920 0.0185
O 0.8232 0.3008 0.6263
O 0.8783 0.1733 0.1919

Most intense lines, 2θ from 5° to 70°, by angle:
(0 2 0), 2.616 Å, 2θ = 34.28°, I = 69
(0 2 -2), 2.605 Å, 2θ = 34.42°, I = 100
(2 -2 0), 2.601 Å, 2θ = 34.48°, I = 33
(2 2 -2), 1.845 Å, 2θ = 49.40°, I = 38
(2 -2 2), 1.843 Å, 2θ = 49.46°, I = 19
(0 2 2), 1.512 Å, 2θ = 61.32°, I = 8
(2 0 -4), 1.508 Å, 2θ = 61.49°, I = 41
(2 2 -4), 1.506 Å, 2θ = 61.59°, I = 16
(2 -4 2), 1.504 Å, 2θ = 61.67°, I = 8
(4 -2 0), 1.501 Å, 2θ = 61.82°, I = 24

(2)
Structure and calculated powder X-ray diffraction pattern of V2ZnCu2O8 (a cell relaxed with GGA+U; Cu Kα, 1.54184 Å).
Peak positions follow from Bragg's law for the DFT cell and can differ from measured ones.

Structure:
abc: 6.5122 8.4237 11.8311
angles: 90.00 90.51 90.00
Atoms (fractional coordinates):
V 0.1019 0.0408 0.3450
V 0.1019 0.4592 0.8450
V 0.3921 0.5880 0.3658
V 0.3921 0.9120 0.8658
V 0.6079 0.0880 0.1342
V 0.6079 0.4120 0.6342
V 0.8981 0.5408 0.1550
V 0.8981 0.9592 0.6550
Zn 0.1087 0.1661 0.0521
Zn 0.1087 0.3339 0.5521
Zn 0.8913 0.6661 0.4479
Zn 0.8913 0.8339 0.9479
Cu 0.2359 0.6841 0.6275
Cu 0.2359 0.8159 0.1275
Cu 0.3797 0.0580 0.6299
Cu 0.3797 0.4420 0.1299
Cu 0.6203 0.5580 0.8701
Cu 0.6203 0.9420 0.3701
Cu 0.7641 0.1841 0.8725
Cu 0.7641 0.3159 0.3725
O 0.0361 0.2336 0.3961
O 0.0361 0.2664 0.8961
O 0.0864 0.1030 0.6168
O 0.0864 0.3970 0.1168
O 0.1197 0.0386 0.2000
O 0.1197 0.4614 0.7000
O 0.1921 0.5807 0.4698
O 0.1921 0.9193 0.9698
O 0.3153 0.6318 0.2237
O 0.3153 0.8682 0.7237
O 0.3368 0.5133 0.9009
O 0.3368 0.9867 0.4009
O 0.4184 0.2197 0.0874
O 0.4184 0.2803 0.5874
O 0.4950 0.0967 0.8610
O 0.4950 0.4033 0.3610
O 0.5050 0.5967 0.6390
O 0.5050 0.9033 0.1390
O 0.5816 0.7197 0.4126
O 0.5816 0.7803 0.9126
O 0.6632 0.0133 0.5991
O 0.6632 0.4867 0.0991
O 0.6847 0.1318 0.2763
O 0.6847 0.3682 0.7763
O 0.8079 0.0807 0.0302
O 0.8079 0.4193 0.5302
O 0.8803 0.5386 0.3000
O 0.8803 0.9614 0.8000
O 0.9136 0.6030 0.8832
O 0.9136 0.8970 0.3832
O 0.9639 0.7336 0.1039
O 0.9639 0.7664 0.6039

Most intense lines, 2θ from 5° to 70°, by angle:
(1 0 -2), 4.398 Å, 2θ = 20.19°, I = 70
(1 1 -2), 3.899 Å, 2θ = 22.81°, I = 33
(1 2 -1), 3.392 Å, 2θ = 26.27°, I = 41
(1 2 -2), 3.040 Å, 2θ = 29.38°, I = 64
(0 0 4), 2.958 Å, 2θ = 30.22°, I = 100
(2 1 -1), 2.947 Å, 2θ = 30.32°, I = 49
(2 1 1), 2.936 Å, 2θ = 30.45°, I = 75
(0 3 1), 2.732 Å, 2θ = 32.78°, I = 74
(1 2 3), 2.627 Å, 2θ = 34.14°, I = 51
(3 1 0), 2.102 Å, 2θ = 43.03°, I = 35